Theoretical XRD peak list of TlCdSeO for Cu Kα, 1.54184 Å, from a PBE-relaxed structure.

Main lines, sorted by position (2θ = 15–90°):
26.59°, d = 3.353 Å, I 28; 27.27°, d = 3.270 Å, I 66; 31.40°, d = 2.849 Å, I 100; 34.20°, d = 2.622 Å, I 19; 44.56°, d = 2.034 Å, I 31; 45.44°, d = 1.996 Å, I 49; 52.64°, d = 1.739 Å, I 18; 53.42°, d = 1.715 Å, I 25; 56.27°, d = 1.635 Å, I 19; 75.11°, d = 1.265 Å, I 17

Crystal structure
Unit cell a=13.607 b=13.607 c=13.607 alpha=16.87 beta=16.87 gamma=16.87
Fractional positions:
Tl 0.000 0.000 0.000
Tl 0.500 0.500 0.500
Cd 0.244 0.244 0.244
Cd 0.756 0.756 0.756
Se 0.390 0.390 0.390
Se 0.610 0.610 0.610
O 0.190 0.190 0.190
O 0.810 0.810 0.810


Theoretical XRD peak list of Ac2Cu6NiRh for Cu Kα, 1.54184 Å, from a PBE-relaxed structure.

Main lines, sorted by position (2θ = 15–90°):
27.54°, d = 3.239 Å, I 100; 32.69°, d = 2.740 Å, I 30; 32.79°, d = 2.731 Å, I 59; 33.35°, d = 2.687 Å, I 76; 35.19°, d = 2.551 Å, I 17; 42.96°, d = 2.105 Å, I 15; 43.13°, d = 2.097 Å, I 27; 45.32°, d = 2.001 Å, I 30; 48.65°, d = 1.872 Å, I 16; 52.54°, d = 1.742 Å, I 18

Crystal structure
Unit cell a=6.314 b=6.319 c=6.343 alpha=61.67 beta=61.54 gamma=61.59
Fractional positions:
Ac 0.188 0.190 0.189
Ac 0.812 0.810 0.811
Cu 0.175 0.614 0.325
Cu 0.325 0.175 0.613
Cu 0.386 0.674 0.825
Cu 0.614 0.326 0.175
Cu 0.675 0.825 0.387
Cu 0.825 0.386 0.675
Ni 0.500 0.500 0.500
Rh 0.000 0.000 0.000


Theoretical XRD peak list of Ac3InAg for Cu Kα, 1.54184 Å, from a PBE-relaxed structure.

Main lines, sorted by position (2θ = 15–90°):
24.12°, d = 3.690 Å, I 50; 25.06°, d = 3.554 Å, I 36; 26.82°, d = 3.324 Å, I 35; 27.23°, d = 3.275 Å, I 37; 30.00°, d = 2.978 Å, I 85; 30.80°, d = 2.903 Å, I 100; 31.19°, d = 2.867 Å, I 43; 31.56°, d = 2.835 Å, I 72; 32.28°, d = 2.773 Å, I 81; 44.11°, d = 2.053 Å, I 45

Crystal structure
Unit cell a=11.129 b=11.129 c=7.107 alpha=90.00 beta=90.00 gamma=115.28
Fractional positions:
Ac 0.067 0.433 0.750
Ac 0.121 0.879 0.787
Ac 0.218 0.218 0.500
Ac 0.282 0.282 0.000
Ac 0.379 0.621 0.287
Ac 0.433 0.067 0.250
Ac 0.567 0.933 0.750
Ac 0.621 0.379 0.713
Ac 0.718 0.718 0.000
Ac 0.782 0.782 0.500
Ac 0.879 0.121 0.213
Ac 0.933 0.567 0.250
In 0.075 0.925 0.258
In 0.425 0.575 0.758
In 0.575 0.425 0.242
In 0.925 0.075 0.742
Ag 0.100 0.400 0.250
Ag 0.400 0.100 0.750
Ag 0.600 0.900 0.250
Ag 0.900 0.600 0.750


Theoretical XRD peak list of MgSb2Pt for Cu Kα, 1.54184 Å, from a PBE-relaxed structure.

Main lines, sorted by position (2θ = 15–90°):
19.26°, d = 4.609 Å, I 100; 28.43°, d = 3.140 Å, I 66; 34.04°, d = 2.634 Å, I 34; 39.55°, d = 2.278 Å, I 70; 43.32°, d = 2.089 Å, I 17; 43.78°, d = 2.068 Å, I 14; 44.92°, d = 2.018 Å, I 38; 47.81°, d = 1.903 Å, I 19; 56.20°, d = 1.637 Å, I 16; 76.93°, d = 1.239 Å, I 10

Crystal structure
Unit cell a=5.268 b=4.178 c=5.433 alpha=90.00 beta=118.82 gamma=90.00
Fractional positions:
Mg 0.000 0.000 0.000
Sb 0.325 0.500 0.651
Sb 0.675 0.500 0.349
Pt 0.500 0.000 0.000